Theoretical powder X-ray diffraction pattern of Tb7Dy2Y4 for a wavelength of 1.5418 Å, from the GGA-PBE geometry in Alexandria.
Kinematic intensities with the Lorentz-polarization factor, no thermal factor.

a b c (Å): 6.0947 6.0947 13.1826
angles (deg): 90.00 90.00 120.00
Fractional positions:
Tb (0.0000, 0.0000, 0.0000)
Tb (0.0000, 0.3619, 0.2166)
Tb (0.0000, 0.6381, 0.7834)
Tb (0.3619, 0.0000, 0.2166)
Tb (0.3619, 0.3619, 0.7834)
Tb (0.6381, 0.0000, 0.7834)
Tb (0.6381, 0.6381, 0.2166)
Dy (0.3333, 0.6667, 0.0000)
Dy (0.6667, 0.3333, 0.0000)
Y (0.0000, 0.0000, 0.3928)
Y (0.0000, 0.0000, 0.6072)
Y (0.3333, 0.6667, 0.5000)
Y (0.6667, 0.3333, 0.5000)

Top 12 peaks for 2θ from 15° to 90°, by angle:
2theta, intensity
27.06, 247
30.10, 537
32.37, 1000
34.00, 209
35.86, 463
40.31, 156
51.26, 211
51.98, 279
59.56, 147
62.57, 135
63.57, 178
64.26, 132



Theoretical powder X-ray diffraction pattern of AcTbAg2Se4 for a wavelength of 1.5418 Å, from the GGA-PBE geometry in Alexandria.
Kinematic intensities with the Lorentz-polarization factor, no thermal factor.

a b c (Å): 6.6332 6.6332 6.6332
angles (deg): 115.01 112.64 101.08
Fractional positions:
Ac (0.0000, 0.0000, 0.0000)
Tb (0.5000, 0.5000, 0.0000)
Ag (0.3319, 0.8319, 0.5000)
Ag (0.6681, 0.1681, 0.5000)
Se (0.0903, 0.0955, 0.5503)
Se (0.4548, 0.9045, 0.9948)
Se (0.5452, 0.5400, 0.4497)
Se (0.9097, 0.4600, 0.0052)

Top 12 peaks for 2θ from 15° to 90°, by angle:
2theta, intensity
16.29, 129
27.41, 1000
29.31, 128
32.30, 239
32.91, 223
35.06, 710
44.60, 279
45.53, 259
46.60, 263
49.57, 126
59.24, 124
77.49, 126



Theoretical powder X-ray diffraction pattern of UGaBr6 for a wavelength of 1.5418 Å, from the GGA-PBE geometry in Alexandria.
Kinematic intensities with the Lorentz-polarization factor, no thermal factor.

a b c (Å): 7.4139 7.4139 7.2614
angles (deg): 98.04 98.04 120.67
Fractional positions:
U (0.0000, 0.0000, 0.0000)
Ga (0.5000, 0.5000, 0.5000)
Br (0.0728, 0.3639, 0.2289)
Br (0.2369, 0.2369, 0.7765)
Br (0.3639, 0.0728, 0.2289)
Br (0.6361, 0.9272, 0.7711)
Br (0.7631, 0.7631, 0.2235)
Br (0.9272, 0.6361, 0.7711)

Top 12 peaks for 2θ from 15° to 90°, by angle:
2theta, intensity
16.65, 712
21.46, 254
29.15, 1000
30.59, 455
33.67, 145
37.86, 178
38.05, 141
40.64, 170
41.30, 171
42.08, 144
42.59, 300
42.93, 304



Theoretical powder X-ray diffraction pattern of Ho7ThSc4 for a wavelength of 1.5418 Å, from the GGA-PBE geometry in Alexandria.
Kinematic intensities with the Lorentz-polarization factor, no thermal factor.

a b c (Å): 6.0099 6.9403 8.5465
angles (deg): 89.74 76.12 89.98
Fractional positions:
Ho (0.0000, 0.0000, 0.0000)
Ho (0.2222, 0.5009, 0.3350)
Ho (0.2823, 0.2447, 0.6624)
Ho (0.4991, 0.7516, 0.9957)
Ho (0.5009, 0.2484, 0.0043)
Ho (0.7177, 0.7553, 0.3376)
Ho (0.7778, 0.4991, 0.6650)
Th (0.0000, 0.5000, 0.0000)
Sc (0.2166, 0.9999, 0.3426)
Sc (0.2709, 0.7536, 0.6662)
Sc (0.7291, 0.2464, 0.3338)
Sc (0.7834, 0.0001, 0.6574)

Top 12 peaks for 2θ from 15° to 90°, by angle:
2theta, intensity
19.89, 119
29.95, 820
32.37, 714
33.06, 1000
33.19, 509
34.76, 496
34.93, 929
41.87, 200
52.76, 537
63.16, 208
63.46, 209
63.78, 156



Theoretical powder X-ray diffraction pattern of P4Cl for a wavelength of 1.5418 Å, from the GGA-PBE geometry in Alexandria.
Kinematic intensities with the Lorentz-polarization factor, no thermal factor.

a b c (Å): 4.9477 4.9477 4.9477
angles (deg): 109.47 109.47 109.47
Fractional positions:
P (0.0000, 0.0000, 0.5000)
P (0.0000, 0.5000, 0.0000)
P (0.5000, 0.0000, 0.0000)
P (0.5000, 0.5000, 0.5000)
Cl (0.0000, 0.0000, 0.0000)

Top 12 peaks for 2θ from 15° to 90°, by angle:
2theta, intensity
22.00, 420
31.31, 457
38.60, 161
44.87, 1000
50.52, 66
55.74, 107
60.65, 72
65.33, 153
69.85, 34
74.24, 142
82.76, 329
86.95, 40



Theoretical powder X-ray diffraction pattern of Li2HoNb3N6 for a wavelength of 1.5418 Å, from the GGA-PBE geometry in Alexandria.
Kinematic intensities with the Lorentz-polarization factor, no thermal factor.

a b c (Å): 5.3948 5.3948 5.6633
angles (deg): 98.98 98.98 120.04
Fractional positions:
Li (0.1654, 0.8346, 0.0000)
Li (0.8346, 0.1654, 0.0000)
Ho (0.5000, 0.5000, 0.0000)
Nb (0.0000, 0.0000, 0.5000)
Nb (0.3283, 0.6717, 0.5000)
Nb (0.6717, 0.3283, 0.5000)
N (0.0744, 0.4091, 0.7265)
N (0.2586, 0.2586, 0.2766)
N (0.4091, 0.0744, 0.7265)
N (0.5909, 0.9256, 0.2735)
N (0.7414, 0.7414, 0.7234)
N (0.9256, 0.5909, 0.2735)

Top 12 peaks for 2θ from 15° to 90°, by angle:
2theta, intensity
16.48, 274
18.99, 230
19.77, 451
22.03, 400
25.24, 306
29.18, 200
33.31, 389
35.08, 1000
40.16, 983
40.33, 452
57.07, 340
59.36, 407